No. 1
Simulated X-ray diffraction stick pattern of Mg14ZrB for Cu Kα, from a structure optimized by DFT (GGA-PBE).
Kinematic intensities with the Lorentz-polarization factor, no thermal factor.

Top 10 peaks for 2θ = 10–90°, low angle first:
d [Å], I/Imax
5.261, 23
4.674, 22
2.851, 36
2.709, 22
2.630, 58
2.545, 50
2.487, 89
2.337, 100
1.829, 25
1.426, 25

Structural model:
a b c (Å): 10.179 6.426 6.426
angles (deg): 54.95 90.00 90.00
Positions (direct):
Mg  0.000  0.000  0.000
Mg  0.000  0.488  0.488
Mg  0.000  0.488  0.995
Mg  0.000  0.995  0.488
Mg  0.247  0.649  0.649
Mg  0.253  0.151  0.644
Mg  0.253  0.644  0.151
Mg  0.334  0.111  0.111
Mg  0.500  0.005  0.537
Mg  0.500  0.537  0.005
Mg  0.666  0.111  0.111
Mg  0.747  0.151  0.644
Mg  0.747  0.644  0.151
Mg  0.753  0.649  0.649
Zr  0.500  0.510  0.510
B  0.500  0.951  0.951

=====

No. 2
Simulated X-ray diffraction stick pattern of Ga2TcH for Cu Kα, from a structure optimized by DFT (GGA-PBE).
Kinematic intensities with the Lorentz-polarization factor, no thermal factor.

Top 10 peaks for 2θ = 10–90°, low angle first:
d [Å], I/Imax
4.036, 72
2.702, 24
2.485, 40
2.440, 62
2.299, 42
2.187, 100
2.052, 40
2.018, 53
1.960, 47
1.247, 30

Structural model:
a b c (Å): 5.144 5.144 5.144
angles (deg): 107.69 104.35 116.63
Positions (direct):
Ga  0.301  0.000  0.801
Ga  0.301  0.500  0.301
Ga  0.699  0.000  0.199
Ga  0.699  0.500  0.699
Tc  0.153  0.403  0.750
Tc  0.847  0.597  0.250
H  0.154  0.904  0.250
H  0.846  0.096  0.750

=====

No. 3
Simulated X-ray diffraction stick pattern of Pa2CuP3 for Cu Kα, from a structure optimized by DFT (GGA-PBE).
Kinematic intensities with the Lorentz-polarization factor, no thermal factor.

Top 10 peaks for 2θ = 10–90°, low angle first:
d [Å], I/Imax
3.457, 74
3.419, 51
3.381, 71
3.081, 100
2.742, 40
2.699, 38
2.580, 42
2.289, 44
2.038, 37
1.938, 37

Structural model:
a b c (Å): 7.760 3.876 15.235
angles (deg): 90.00 90.00 90.00
Positions (direct):
Pa  0.083  0.250  0.217
Pa  0.247  0.250  0.964
Pa  0.253  0.750  0.464
Pa  0.417  0.750  0.717
Pa  0.583  0.250  0.283
Pa  0.747  0.250  0.536
Pa  0.753  0.750  0.036
Pa  0.917  0.750  0.783
Cu  0.115  0.250  0.633
Cu  0.385  0.750  0.133
Cu  0.615  0.250  0.867
Cu  0.885  0.750  0.367
P  0.019  0.250  0.404
P  0.110  0.750  0.076
P  0.184  0.250  0.780
P  0.316  0.750  0.280
P  0.390  0.250  0.576
P  0.481  0.750  0.904
P  0.519  0.250  0.096
P  0.610  0.750  0.424
P  0.684  0.250  0.720
P  0.816  0.750  0.220
P  0.890  0.250  0.924
P  0.981  0.750  0.596

=====

No. 4
Simulated X-ray diffraction stick pattern of VFe2Ni5 for Cu Kα, from a structure optimized by DFT (GGA-PBE).
Kinematic intensities with the Lorentz-polarization factor, no thermal factor.

Top 10 peaks for 2θ = 10–90°, low angle first:
d [Å], I/Imax
2.204, 11
2.176, 29
2.050, 43
1.941, 57
1.922, 100
1.492, 16
1.267, 15
1.251, 7
1.161, 9
1.157, 17

Structural model:
a b c (Å): 6.020 5.069 4.802
angles (deg): 75.10 54.46 50.44
Positions (direct):
V  0.000  0.000  0.000
Fe  0.414  0.909  0.091
Fe  0.909  0.414  0.586
Ni  0.002  0.499  0.998
Ni  0.411  0.411  0.089
Ni  0.497  0.497  0.503
Ni  0.499  0.002  0.501
Ni  0.911  0.911  0.589